Computed powder diffraction line list
Compound: Ce3Tl4Pb2
Radiation: Cu Kα X-rays
Structure: a crystal structure in Alexandria, relaxed with PBE
Intensities are scaled so that the largest is 100.

Main lines, in order of rising 2θ (2θ from 10° to 80°):
2θ (°)  I/Imax
29.1  100
31.6  84
32.8  39
37.3  62
38.5  58
39.7  33
55.6  40
59.3  41

Crystal structure
Cell lengths 8.3473, 8.3473, 4.5405 Å; angles 90.00, 90.00, 120.00 degrees
Space group P-62m (No. 189)
Inequivalent atoms, fractional coordinates:
1 Ce 0.0000 0.3879 0.0000 [3 per cell]
2 Tl 0.0000 0.0000 0.0000 [1 per cell]
3 Tl 0.0000 0.7381 0.5000 [3 per cell]
4 Pb 0.3333 0.6667 0.5000 [2 per cell]